Calculated X-ray powder pattern of Na3Fe2PC4O16 for CuKα, from the PBE+U geometry in the Materials Project.

The 10 most intense peaks (2θ = 5–70°), by angle:
two_theta	I (rel.)
10.95	100
17.87	53
20.87	59
21.14	79
22.00	20
25.60	22
32.91	25
33.43	68
36.20	36
57.26	27

Structure:
```
Na3Fe2PC4O16
1.0
0.000 7.080 6.957
6.962 0.000 6.957
6.962 7.080 0.000
Na Fe P C O
6 4 2 8 32
Direct
0.000 0.000 0.000
0.250 0.250 0.250
0.255 0.672 0.258
0.436 0.992 0.578
0.672 0.255 0.814
0.992 0.436 0.995
0.342 0.833 0.415
0.833 0.342 0.410
0.835 0.840 0.908
0.840 0.835 0.417
0.215 0.215 0.785
0.465 0.465 0.035
0.051 0.701 0.623
0.054 0.057 0.621
0.057 0.054 0.268
0.625 0.627 0.549
0.627 0.625 0.199
0.629 0.982 0.196
0.701 0.051 0.625
0.982 0.629 0.193
0.023 0.197 0.505
0.024 0.278 0.853
0.024 0.694 0.769
0.029 0.940 0.263
0.195 0.701 0.508
0.197 0.023 0.276
0.200 0.947 0.593
0.275 0.278 0.595
0.278 0.024 0.845
0.278 0.275 0.853
0.397 0.405 0.226
0.397 0.655 0.972
0.405 0.397 0.972
0.481 0.736 0.226
0.482 0.987 0.310
0.484 0.657 0.547
0.653 0.742 0.549
0.655 0.397 0.975
0.657 0.484 0.312
0.657 0.990 0.050
0.694 0.024 0.514
0.701 0.195 0.597
0.703 0.938 0.766
0.736 0.481 0.556
0.742 0.653 0.055
0.745 0.974 0.227
0.938 0.703 0.593
0.940 0.029 0.768
0.947 0.200 0.260
0.974 0.745 0.053
0.987 0.482 0.221
0.990 0.657 0.303
```